1.
Diffraction record for Ga2CuCl8. The X-ray diffraction stick pattern is theoretical, not measured: it uses the PBE geometry in Alexandria and Cu Kα.

The 12 most intense peaks (10° ≤ 2θ ≤ 90°), by intensity:
2theta	Rel. int.
16.9	100
12.4	85
20.9	69
17.5	61
37.3	53
17.9	46
30.1	38
29.0	35
44.8	34
13.3	32
26.8	27
17.7	26

Structure:
```
Ga2CuCl8
1.0
7.158 0.000 0.000
0.000 7.755 0.000
-1.499 0.000 12.918
Ga Cu Cl
4 2 16
Direct
0.194 0.244 0.182
0.194 0.256 0.682
0.806 0.744 0.318
0.806 0.756 0.818
0.000 0.000 0.500
0.000 0.500 0.000
0.092 0.742 0.917
0.092 0.758 0.417
0.160 0.216 0.842
0.160 0.284 0.342
0.281 0.006 0.606
0.281 0.494 0.106
0.362 0.032 0.142
0.362 0.468 0.642
0.638 0.532 0.358
0.638 0.968 0.858
0.719 0.506 0.894
0.719 0.994 0.394
0.840 0.716 0.658
0.840 0.784 0.158
0.908 0.242 0.583
0.908 0.258 0.083
```


2.
Diffraction record for Cs12H2S5. The X-ray diffraction stick pattern is theoretical, not measured: it uses the PBE geometry in Alexandria and Cu Kα.

The 12 most intense peaks (10° ≤ 2θ ≤ 90°), by intensity:
2theta	Rel. int.
26.4	100
21.7	73
22.6	67
21.6	56
29.3	42
28.3	42
47.2	31
32.3	29
36.0	27
41.4	26
29.8	25
25.1	24

Structure:
```
Cs12H2S5
1.0
9.526 -4.367 0.000
9.526 4.367 0.000
-3.163 0.000 10.634
Cs H S
12 2 5
Direct
0.002 0.002 0.200
0.060 0.588 0.900
0.093 0.595 0.431
0.405 0.907 0.569
0.412 0.940 0.100
0.468 0.468 0.194
0.532 0.532 0.806
0.588 0.060 0.900
0.595 0.093 0.431
0.907 0.405 0.569
0.940 0.412 0.100
0.998 0.998 0.800
0.264 0.736 0.000
0.736 0.264 0.000
0.182 0.182 0.845
0.189 0.189 0.346
0.500 0.500 0.500
0.811 0.811 0.654
0.818 0.818 0.155
```